Calculated XRD peak list
Compound: K4CaNi
Radiation: Cu Ka
Structure: a crystal structure in Alexandria, relaxed with PBE
Lines closer than 0.1° are merged.

```
data_K4CaNi
_chemical_formula_sum 'K4 Ca1 Ni1'
_symmetry_space_group_name_H-M 'P 1'
_symmetry_Int_Tables_number 1
_symmetry_space_group_name_Hall 'P 1'
_cell_length_a 7.516
_cell_length_b 7.516
_cell_length_c 7.516
_cell_angle_alpha 60.00
_cell_angle_beta 60.00
_cell_angle_gamma 60.00
loop_
_atom_site_label
_atom_site_type_symbol
_atom_site_fract_x
_atom_site_fract_y
_atom_site_fract_z
K1 K 0.124 0.124 0.124
K2 K 0.124 0.124 0.629
K3 K 0.124 0.629 0.124
K4 K 0.629 0.124 0.124
Ca1 Ca 0.500 0.500 0.500
Ni1 Ni 0.750 0.750 0.750
```

Largest 6 diffraction maxima, in order of rising 2θ, 10° ≤ 2θ ≤ 90°:
d = 3.758 Å, 23.67°, I = 35
d = 3.205 Å, 27.84°, I = 100
d = 3.068 Å, 29.10°, I = 32
d = 2.046 Å, 44.28°, I = 34
d = 1.879 Å, 48.44°, I = 28
d = 1.384 Å, 67.71°, I = 19

---

Calculated XRD peak list
Compound: K3CaNp2O9
Radiation: Cu Ka
Structure: a crystal structure in Alexandria, relaxed with PBE
Lines closer than 0.1° are merged.

```
data_K3CaNp2O9
_chemical_formula_sum 'K3 Ca1 Np2 O9'
_symmetry_space_group_name_H-M 'P 1'
_symmetry_Int_Tables_number 1
_symmetry_space_group_name_Hall 'P 1'
_cell_length_a 6.097
_cell_length_b 6.097
_cell_length_c 7.484
_cell_angle_alpha 90.00
_cell_angle_beta 90.00
_cell_angle_gamma 120.00
loop_
_atom_site_label
_atom_site_type_symbol
_atom_site_fract_x
_atom_site_fract_y
_atom_site_fract_z
K1 K 0.000 0.000 0.000
K2 K 0.333 0.667 0.657
K3 K 0.667 0.333 0.343
Ca1 Ca 0.000 0.000 0.500
Np1 Np 0.333 0.667 0.164
Np2 Np 0.667 0.333 0.836
O1 O 0.000 0.500 0.000
O2 O 0.179 0.359 0.315
O3 O 0.179 0.821 0.315
O4 O 0.359 0.179 0.685
O5 O 0.500 0.000 0.000
O6 O 0.500 0.500 0.000
O7 O 0.641 0.821 0.315
O8 O 0.821 0.179 0.685
O9 O 0.821 0.641 0.685
```

Largest 6 diffraction maxima, in order of rising 2θ, 10° ≤ 2θ ≤ 90°:
d = 5.280 Å, 16.79°, I = 20
d = 4.315 Å, 20.59°, I = 74
d = 3.051 Å, 29.27°, I = 100
d = 2.157 Å, 41.88°, I = 33
d = 1.929 Å, 47.10°, I = 31
d = 1.762 Å, 51.90°, I = 32

---

Number 1 is which compound? K4CaNi

---

What did the second record say?
Calculated XRD peak list
Compound: K3CaNp2O9
Radiation: Cu Ka
Structure: a crystal structure in Alexandria, relaxed with PBE
Lines closer than 0.1° are merged.

```
data_K3CaNp2O9
_chemical_formula_sum 'K3 Ca1 Np2 O9'
_symmetry_space_group_name_H-M 'P 1'
_symmetry_Int_Tables_number 1
_symmetry_space_group_name_Hall 'P 1'
_cell_length_a 6.097
_cell_length_b 6.097
_cell_length_c 7.484
_cell_angle_alpha 90.00
_cell_angle_beta 90.00
_cell_angle_gamma 120.00
loop_
_atom_site_label
_atom_site_type_symbol
_atom_site_fract_x
_atom_site_fract_y
_atom_site_fract_z
K1 K 0.000 0.000 0.000
K2 K 0.333 0.667 0.657
K3 K 0.667 0.333 0.343
Ca1 Ca 0.000 0.000 0.500
Np1 Np 0.333 0.667 0.164
Np2 Np 0.667 0.333 0.836
O1 O 0.000 0.500 0.000
O2 O 0.179 0.359 0.315
O3 O 0.179 0.821 0.315
O4 O 0.359 0.179 0.685
O5 O 0.500 0.000 0.000
O6 O 0.500 0.500 0.000
O7 O 0.641 0.821 0.315
O8 O 0.821 0.179 0.685
O9 O 0.821 0.641 0.685
```

Largest 6 diffraction maxima, in order of rising 2θ, 10° ≤ 2θ ≤ 90°:
d = 5.280 Å, 16.79°, I = 20
d = 4.315 Å, 20.59°, I = 74
d = 3.051 Å, 29.27°, I = 100
d = 2.157 Å, 41.88°, I = 33
d = 1.929 Å, 47.10°, I = 31
d = 1.762 Å, 51.90°, I = 32

---

What did the first record say?
Calculated XRD peak list
Compound: K4CaNi
Radiation: Cu Ka
Structure: a crystal structure in Alexandria, relaxed with PBE
Lines closer than 0.1° are merged.

```
data_K4CaNi
_chemical_formula_sum 'K4 Ca1 Ni1'
_symmetry_space_group_name_H-M 'P 1'
_symmetry_Int_Tables_number 1
_symmetry_space_group_name_Hall 'P 1'
_cell_length_a 7.516
_cell_length_b 7.516
_cell_length_c 7.516
_cell_angle_alpha 60.00
_cell_angle_beta 60.00
_cell_angle_gamma 60.00
loop_
_atom_site_label
_atom_site_type_symbol
_atom_site_fract_x
_atom_site_fract_y
_atom_site_fract_z
K1 K 0.124 0.124 0.124
K2 K 0.124 0.124 0.629
K3 K 0.124 0.629 0.124
K4 K 0.629 0.124 0.124
Ca1 Ca 0.500 0.500 0.500
Ni1 Ni 0.750 0.750 0.750
```

Largest 6 diffraction maxima, in order of rising 2θ, 10° ≤ 2θ ≤ 90°:
d = 3.758 Å, 23.67°, I = 35
d = 3.205 Å, 27.84°, I = 100
d = 3.068 Å, 29.10°, I = 32
d = 2.046 Å, 44.28°, I = 34
d = 1.879 Å, 48.44°, I = 28
d = 1.384 Å, 67.71°, I = 19